Entry 1:
Calculated XRD peak list of YCl2F for CuKα, from the GGA-PBE geometry in Alexandria.
Neutral-atom scattering factors, no anomalous dispersion.

The 10 most intense peaks (10 to 80 degrees two-theta), sorted by position:
| 2theta | I_rel |
| --- | --- |
| 15.26 | 61 |
| 16.91 | 100 |
| 25.84 | 72 |
| 29.64 | 18 |
| 30.86 | 30 |
| 32.17 | 28 |
| 39.52 | 27 |
| 41.52 | 46 |
| 46.96 | 19 |
| 53.09 | 24 |

```
data_YCl2F
_cell_length_a 6.956
_cell_length_b 6.039
_cell_length_c 10.535
_cell_angle_alpha 90.00
_cell_angle_beta 90.00
_cell_angle_gamma 90.00
_symmetry_space_group_name_H-M 'P n n a'
_symmetry_Int_Tables_number 52
loop_
_symmetry_equiv_pos_as_xyz
'x,y,z'
'-x,-y,-z'
'-x+1/2,-y,z'
'x+1/2,y,-z'
'x,-y+1/2,-z+1/2'
'-x,y+1/2,z+1/2'
'-x+1/2,y+1/2,-z+1/2'
'x+1/2,-y+1/2,z+1/2'
loop_
_atom_site_label
_atom_site_type_symbol
_atom_site_fract_x
_atom_site_fract_y
_atom_site_fract_z
Y1 Y 0.250 0.000 0.105
Cl1 Cl 0.073 0.235 0.924
F1 F 0.186 0.250 0.250
```

Entry 2:
Calculated XRD peak list of YbClF for CuKα, from the GGA-PBE geometry in Alexandria.
Neutral-atom scattering factors, no anomalous dispersion.

The 10 most intense peaks (10 to 80 degrees two-theta), sorted by position:
| 2theta | I_rel |
| --- | --- |
| 25.76 | 24 |
| 25.99 | 100 |
| 32.07 | 56 |
| 34.48 | 43 |
| 41.58 | 47 |
| 45.56 | 20 |
| 45.98 | 30 |
| 53.58 | 30 |
| 58.25 | 17 |
| 58.72 | 17 |

```
data_YbClF
_cell_length_a 3.948
_cell_length_b 3.948
_cell_length_c 6.917
_cell_angle_alpha 90.00
_cell_angle_beta 90.00
_cell_angle_gamma 90.00
_symmetry_space_group_name_H-M 'P 4/n m m'
_symmetry_Int_Tables_number 129
loop_
_symmetry_equiv_pos_as_xyz
'x,y,z'
'-x,-y,-z'
'-y+1/2,x,z'
'y+1/2,-x,-z'
'-x+1/2,-y+1/2,z'
'x+1/2,y+1/2,-z'
'y,-x+1/2,z'
'-y,x+1/2,-z'
'x+1/2,-y,-z'
'-x+1/2,y,z'
'-y,-x,-z'
'y,x,z'
'-x,y+1/2,-z'
'x,-y+1/2,z'
'y+1/2,x+1/2,-z'
'-y+1/2,-x+1/2,z'
loop_
_atom_site_label
_atom_site_type_symbol
_atom_site_fract_x
_atom_site_fract_y
_atom_site_fract_z
Yb1 Yb 0.250 0.250 0.205
Cl1 Cl 0.250 0.250 0.643
F1 F 0.250 0.750 0.000
```

Entry 3:
Calculated XRD peak list of FeCl for CuKα, from the GGA-PBE geometry in Alexandria.
Neutral-atom scattering factors, no anomalous dispersion.

The 10 most intense peaks (10 to 80 degrees two-theta), sorted by position:
| 2theta | I_rel |
| --- | --- |
| 11.61 | 100 |
| 15.64 | 41 |
| 15.90 | 28 |
| 29.55 | 14 |
| 33.86 | 15 |
| 39.63 | 23 |
| 40.06 | 14 |
| 44.79 | 14 |
| 45.38 | 12 |
| 51.82 | 15 |

```
data_FeCl
_cell_length_a 16.269
_cell_length_b 3.177
_cell_length_c 6.047
_cell_angle_alpha 90.00
_cell_angle_beta 110.48
_cell_angle_gamma 90.00
_symmetry_space_group_name_H-M 'C 1 m 1'
_symmetry_Int_Tables_number 8
loop_
_symmetry_equiv_pos_as_xyz
'x,y,z'
'x,-y,z'
'x+1/2,y+1/2,z'
'x+1/2,-y+1/2,z'
loop_
_atom_site_label
_atom_site_type_symbol
_atom_site_fract_x
_atom_site_fract_y
_atom_site_fract_z
Fe1 Fe 0.000 0.000 0.000
Fe2 Fe 0.004 0.500 0.322
Fe3 Fe 0.376 0.500 0.128
Cl1 Cl 0.117 0.000 0.369
Cl2 Cl 0.266 0.000 0.000
Cl3 Cl 0.471 0.000 0.688
```